Diffraction record for BeNiMo2S. The powder diffraction line list is computed, not measured: it uses a cell relaxed with GGA-PBE and Cu Kα.
Peak positions follow from Bragg's law for the DFT cell and can differ from measured ones.

Peak list (10 most intense, 5 to 70 degrees two-theta, sorted by position)
2theta  I (rel.)
24.0  100
27.5  24
31.0  37
36.8  77
39.2  100
46.5  67
49.2  25
56.7  32
62.4  27
64.6  43

Lattice parameters (Å, degrees): 4.593 4.593 3.706 90.00 90.00 90.00
Element x y z (fractional)
1 Be 0.000 0.000 0.000
2 Ni 0.000 0.000 0.500
3 Mo 0.000 0.500 0.500
4 Mo 0.500 0.000 0.500
5 S 0.500 0.500 0.000